This entry pairs a crystal structure of LiCoC2O6 with its simulated PXRD pattern. Radiation: Cu Kα. Structure: a cell relaxed with GGA+U.

Structure:
Cell lengths 5.040, 7.805, 6.480 Å; angles 90.00, 110.02, 90.00 degrees
Space group P2_1 (No. 4)
Asymmetric unit:
Li: 0.144 0.000 0.131 [2 per cell]
Co: 0.487 0.058 0.738 [2 per cell]
C: 0.355 0.313 0.876 [2 per cell]
C: 0.387 0.295 0.368 [2 per cell]
O: 0.219 0.166 0.854 [2 per cell]
O: 0.232 0.432 0.343 [2 per cell]
O: 0.265 0.451 0.929 [2 per cell]
O: 0.310 0.146 0.406 [2 per cell]
O: 0.372 0.826 0.659 [2 per cell]
O: 0.410 0.799 0.166 [2 per cell]

Principal peaks in the range 10° ≤ 2θ ≤ 90°, low angle first:
two_theta, I_rel
18.48, 81
18.74, 100
21.95, 18
22.54, 51
31.55, 40
37.53, 21
40.34, 16
55.71, 19

***

This entry pairs a crystal structure of Li2CoC2O6 with its simulated PXRD pattern. Radiation: Cu Kα. Structure: a cell relaxed with GGA+U.

Structure:
Cell lengths 5.223, 9.869, 10.325 Å; angles 71.35, 82.70, 83.44 degrees
Space group P1 (No. 1)
Asymmetric unit:
Li: 0.000 0.000 0.000 [1 per cell]
Li: 0.001 0.320 0.159 [1 per cell]
Li: 0.048 0.031 0.732 [1 per cell]
Li: 0.283 0.979 0.318 [1 per cell]
Li: 0.499 0.500 0.499 [1 per cell]
Li: 0.502 0.820 0.658 [1 per cell]
Li: 0.548 0.531 0.231 [1 per cell]
Li: 0.783 0.478 0.818 [1 per cell]
Co: 0.133 0.649 0.989 [1 per cell]
Co: 0.481 0.130 0.007 [1 per cell]
Co: 0.634 0.149 0.490 [1 per cell]
Co: 0.980 0.630 0.507 [1 per cell]
C: 0.035 0.537 0.302 [1 per cell]
C: 0.065 0.729 0.695 [1 per cell]
C: 0.316 0.439 0.914 [1 per cell]
C: 0.372 0.822 0.104 [1 per cell]
C: 0.536 0.037 0.802 [1 per cell]
C: 0.565 0.229 0.195 [1 per cell]
C: 0.815 0.939 0.413 [1 per cell]
C: 0.872 0.321 0.604 [1 per cell]
O: 0.058 0.227 0.611 [1 per cell]
O: 0.064 0.463 0.938 [1 per cell]
O: 0.081 0.504 0.189 [1 per cell]
O: 0.117 0.793 0.780 [1 per cell]
O: 0.152 0.810 0.061 [1 per cell]
O: 0.228 0.552 0.365 [1 per cell]
O: 0.251 0.689 0.615 [1 per cell]
O: 0.304 0.058 0.854 [1 per cell]
O: 0.331 0.204 0.184 [1 per cell]
O: 0.380 0.940 0.139 [1 per cell]
O: 0.421 0.331 0.879 [1 per cell]
O: 0.457 0.533 0.927 [1 per cell]
O: 0.560 0.728 0.111 [1 per cell]
O: 0.563 0.963 0.439 [1 per cell]
O: 0.584 0.003 0.689 [1 per cell]
O: 0.617 0.293 0.280 [1 per cell]
O: 0.651 0.310 0.561 [1 per cell]
O: 0.729 0.051 0.866 [1 per cell]
O: 0.751 0.189 0.115 [1 per cell]
O: 0.803 0.558 0.355 [1 per cell]
O: 0.831 0.704 0.685 [1 per cell]
O: 0.881 0.439 0.639 [1 per cell]
O: 0.919 0.830 0.379 [1 per cell]
O: 0.957 0.034 0.425 [1 per cell]

Principal peaks in the range 10° ≤ 2θ ≤ 90°, low angle first:
two_theta, I_rel
18.22, 29
18.66, 27
19.00, 84
20.27, 100
22.96, 21
30.38, 30
31.88, 17
44.77, 17

***

This entry pairs a crystal structure of Li2CoC2O6 with its simulated PXRD pattern. Radiation: Cu Kα. Structure: a cell relaxed with GGA+U.

Structure:
Cell lengths 5.659, 10.712, 8.718 Å; angles 90.00, 108.90, 90.00 degrees
Space group Cc (No. 9)
Asymmetric unit:
Li: 0.000 0.082 0.000 [4 per cell]
Li: 0.158 0.332 0.819 [4 per cell]
Co: 0.003 0.375 0.160 [4 per cell]
C: 0.149 0.149 0.354 [4 per cell]
C: 0.455 0.101 0.965 [4 per cell]
O: 0.007 0.439 0.615 [4 per cell]
O: 0.011 0.104 0.431 [4 per cell]
O: 0.053 0.189 0.204 [4 per cell]
O: 0.129 0.408 0.396 [4 per cell]
O: 0.240 0.145 0.887 [4 per cell]
O: 0.391 0.158 0.423 [4 per cell]

Principal peaks in the range 10° ≤ 2θ ≤ 90°, low angle first:
two_theta, I_rel
18.53, 100
19.76, 12
24.05, 36
30.08, 16
32.51, 15
33.47, 61
43.91, 11
49.37, 11

***

This entry pairs a crystal structure of Li2CoC2O6 with its simulated PXRD pattern. Radiation: Cu Kα. Structure: a cell relaxed with GGA+U.

Structure:
Cell lengths 5.550, 5.994, 8.603 Å; angles 81.58, 71.22, 62.88 degrees
Space group P1 (No. 1)
Asymmetric unit:
Li: 0.000 0.000 0.000 [1 per cell]
Li: 0.092 0.501 0.814 [1 per cell]
Li: 0.294 0.116 0.315 [1 per cell]
Li: 0.702 0.617 0.499 [1 per cell]
Co: 0.471 0.563 0.157 [1 per cell]
Co: 0.721 0.063 0.657 [1 per cell]
C: 0.179 0.632 0.452 [1 per cell]
C: 0.477 0.007 0.954 [1 per cell]
C: 0.524 0.507 0.860 [1 per cell]
C: 0.725 0.132 0.361 [1 per cell]
O: 0.017 0.685 0.602 [1 per cell]
O: 0.114 0.546 0.349 [1 per cell]
O: 0.271 0.591 0.963 [1 per cell]
O: 0.327 0.091 0.850 [1 per cell]
O: 0.368 0.952 0.103 [1 per cell]
O: 0.407 0.667 0.396 [1 per cell]
O: 0.557 0.046 0.465 [1 per cell]
O: 0.564 0.452 0.711 [1 per cell]
O: 0.712 0.185 0.212 [1 per cell]
O: 0.729 0.476 0.915 [1 per cell]
O: 0.737 0.976 0.899 [1 per cell]
O: 0.896 0.167 0.418 [1 per cell]

Principal peaks in the range 10° ≤ 2θ ≤ 90°, low angle first:
two_theta, I_rel
18.77, 96
18.89, 100
19.89, 29
24.38, 22
30.46, 23
33.59, 44
34.13, 31
43.00, 24

***

This entry pairs a crystal structure of LiCoC2O6 with its simulated PXRD pattern. Radiation: Cu Kα. Structure: a cell relaxed with GGA+U.

Structure:
Cell lengths 6.531, 7.690, 10.475 Å; angles 96.35, 97.03, 93.85 degrees
Space group P1 (No. 1)
Asymmetric unit:
Li: 0.000 0.000 0.000 [1 per cell]
Li: 0.194 0.493 0.620 [1 per cell]
Li: 0.423 0.989 0.530 [1 per cell]
Li: 0.714 0.477 0.107 [1 per cell]
Co: 0.274 0.309 0.255 [1 per cell]
Co: 0.381 0.811 0.929 [1 per cell]
Co: 0.801 0.308 0.763 [1 per cell]
Co: 0.849 0.806 0.406 [1 per cell]
C: 0.010 0.103 0.578 [1 per cell]
C: 0.164 0.015 0.292 [1 per cell]
C: 0.439 0.100 0.063 [1 per cell]
C: 0.475 0.592 0.426 [1 per cell]
C: 0.482 0.514 0.873 [1 per cell]
C: 0.662 0.015 0.785 [1 per cell]
C: 0.967 0.514 0.368 [1 per cell]
C: 0.998 0.596 0.934 [1 per cell]
O: 0.054 0.370 0.350 [1 per cell]
O: 0.074 0.869 0.309 [1 per cell]
O: 0.096 0.757 0.956 [1 per cell]
O: 0.102 0.094 0.190 [1 per cell]
O: 0.165 0.023 0.608 [1 per cell]
O: 0.294 0.068 0.966 [1 per cell]
O: 0.320 0.097 0.367 [1 per cell]
O: 0.345 0.575 0.796 [1 per cell]
O: 0.423 0.527 0.304 [1 per cell]
O: 0.436 0.518 0.520 [1 per cell]
O: 0.467 0.254 0.135 [1 per cell]
O: 0.538 0.608 0.986 [1 per cell]
O: 0.556 0.975 0.085 [1 per cell]
O: 0.560 0.368 0.845 [1 per cell]
O: 0.566 0.873 0.805 [1 per cell]
O: 0.575 0.753 0.441 [1 per cell]
O: 0.616 0.088 0.681 [1 per cell]
O: 0.818 0.098 0.865 [1 per cell]
O: 0.842 0.572 0.281 [1 per cell]
O: 0.860 0.042 0.486 [1 per cell]
O: 0.925 0.542 0.813 [1 per cell]
O: 0.976 0.506 0.025 [1 per cell]
O: 0.989 0.262 0.640 [1 per cell]
O: 0.996 0.609 0.482 [1 per cell]

Principal peaks in the range 10° ≤ 2θ ≤ 90°, low angle first:
two_theta, I_rel
17.15, 100
19.12, 28
19.23, 35
19.48, 82
19.59, 78
21.93, 27
30.67, 22
31.01, 23

***

This entry pairs a crystal structure of Li2CoC2O6 with its simulated PXRD pattern. Radiation: Cu Kα. Structure: a cell relaxed with GGA+U.

Structure:
Cell lengths 7.689, 9.597, 7.826 Å; angles 90.00, 110.87, 90.00 degrees
Space group P2_1 (No. 4)
Asymmetric unit:
Li: 0.015 0.000 0.288 [2 per cell]
Li: 0.195 0.774 0.924 [2 per cell]
Li: 0.286 0.498 0.580 [2 per cell]
Li: 0.453 0.767 0.756 [2 per cell]
Co: 0.178 0.016 0.689 [2 per cell]
Co: 0.326 0.259 0.816 [2 per cell]
C: 0.049 0.749 0.519 [2 per cell]
C: 0.084 0.129 0.988 [2 per cell]
C: 0.407 0.132 0.501 [2 per cell]
C: 0.448 0.528 0.987 [2 per cell]
O: 0.014 0.630 0.909 [2 per cell]
O: 0.051 0.615 0.495 [2 per cell]
O: 0.070 0.331 0.595 [2 per cell]
O: 0.105 0.012 0.908 [2 per cell]
O: 0.161 0.243 0.962 [2 per cell]
O: 0.173 0.801 0.664 [2 per cell]
O: 0.289 0.031 0.490 [2 per cell]
O: 0.336 0.470 0.841 [2 per cell]
O: 0.419 0.238 0.609 [2 per cell]
O: 0.451 0.955 0.876 [2 per cell]
O: 0.454 0.665 0.990 [2 per cell]
O: 0.489 0.626 0.595 [2 per cell]

Principal peaks in the range 10° ≤ 2θ ≤ 90°, low angle first:
two_theta, I_rel
13.86, 100
15.23, 18
15.41, 42
20.18, 22
22.22, 11
27.94, 17
36.70, 12
42.46, 12